Structure and calculated X-ray powder pattern of Ba2CdCuO4 (a structure optimized by DFT (PBE); Cu Kα X-rays).
Peak positions follow from Bragg's law for the DFT cell and can differ from measured ones.

Top 10 peaks for 2θ from 10° to 90°, by angle:
2θ = 28.70°, I = 52
2θ = 32.51°, I = 100
2θ = 41.04°, I = 32
2θ = 53.30°, I = 47
2θ = 60.25°, I = 18
2θ = 67.31°, I = 12
2θ = 68.08°, I = 11
2θ = 69.40°, I = 11
2θ = 83.91°, I = 13
2θ = 89.73°, I = 12

Cell lengths 5.6416, 5.6416, 5.6416 Å; angles 113.09, 113.09, 102.46 degrees
Atoms (fractional coordinates):
Ba  0.0000  0.0000  0.0000
Ba  0.7500  0.2500  0.5000
Cd  0.2500  0.7500  0.5000
Cu  0.5000  0.5000  0.0000
O  0.2340  0.6590  0.0672
O  0.3410  0.4083  0.5750
O  0.5917  0.1668  0.9328
O  0.8332  0.7660  0.4250